Structure and calculated PXRD pattern of Li2MnF4 (DFT lattice parameters and positions (GGA+U); a wavelength of 1.5418 Å).
No peak broadening, texture or thermal motion is included.

Cell and atoms:
a = 9.9431 Å, b = 7.3496 Å, c = 10.1208 Å
α = 90.00°, β = 116.82°, γ = 90.00°
Positions (direct):
Li1 0.1244 0.1365 0.0607
Li2 0.1244 0.3635 0.5607
Li3 0.1552 0.5048 0.0853
Li4 0.1552 0.9952 0.5853
Li5 0.3409 0.0193 0.9209
Li6 0.3409 0.4807 0.4209
Li7 0.3544 0.0923 0.4438
Li8 0.3544 0.4077 0.9438
Li9 0.6456 0.5923 0.0562
Li10 0.6456 0.9077 0.5562
Li11 0.6591 0.5193 0.5791
Li12 0.6591 0.9807 0.0791
Li13 0.8448 0.0048 0.4147
Li14 0.8448 0.4952 0.9147
Li15 0.8756 0.6365 0.4393
Li16 0.8756 0.8635 0.9393
Mn1 0.0384 0.7205 0.7671
Mn2 0.0384 0.7795 0.2671
Mn3 0.4807 0.7201 0.2502
Mn4 0.4807 0.7799 0.7502
Mn5 0.5193 0.2201 0.2498
Mn6 0.5193 0.2799 0.7498
Mn7 0.9616 0.2205 0.7329
Mn8 0.9616 0.2795 0.2329
F1 0.0083 0.1647 0.4369
F2 0.0083 0.3353 0.9369
F3 0.0371 0.5258 0.3787
F4 0.0371 0.9742 0.8787
F5 0.1779 0.2087 0.7383
F6 0.1779 0.2913 0.2383
F7 0.2109 0.5853 0.9346
F8 0.2109 0.9147 0.4346
F9 0.2861 0.6422 0.2563
F10 0.2861 0.8578 0.7563
F11 0.3161 0.1919 0.0552
F12 0.3161 0.3081 0.5552
F13 0.4748 0.5177 0.8500
F14 0.4748 0.9823 0.3500
F15 0.4886 0.6430 0.5784
F16 0.4886 0.8570 0.0784
F17 0.5114 0.1430 0.9216
F18 0.5114 0.3570 0.4216
F19 0.5252 0.0177 0.6500
F20 0.5252 0.4823 0.1500
F21 0.6839 0.6919 0.4448
F22 0.6839 0.8081 0.9448
F23 0.7139 0.1422 0.2437
F24 0.7139 0.3578 0.7437
F25 0.7891 0.0853 0.5654
F26 0.7891 0.4147 0.0654
F27 0.8221 0.7087 0.7617
F28 0.8221 0.7913 0.2617
F29 0.9629 0.0258 0.1213
F30 0.9629 0.4742 0.6213
F31 0.9917 0.6647 0.0631
F32 0.9917 0.8353 0.5631

Most intense lines, 2θ = 10–90°, by angle:
19.66°, d 4.516, rel. 62
20.01°, d 4.437, rel. 100
20.79°, d 4.272, rel. 55
24.22°, d 3.675, rel. 43
31.38°, d 2.850, rel. 60
43.48°, d 2.081, rel. 36